La3SmN3: computed X-ray powder pattern (a wavelength of 1.5418 Å), based on a cell relaxed with GGA-PBE.
Peak positions follow from Bragg's law for the DFT cell and can differ from measured ones.

Most intense lines, 2θ = 5–70°, low angle first:
d/Å  two_theta  I (rel.)
5.207  17.03  0.9
3.006  29.72  100.0
2.603  34.45  68.6
1.841  49.51  48.1
1.570  58.82  45.2
1.503  61.71  16.3

Structural model:
```
7
Lattice="5.2068 0.0000 0.0000 0.0000 5.2068 0.0000 0.0000 0.0000 5.2068" Properties=species:S:1:pos:R:3 pbc="T T T"
La 0.0000 0.0000 2.6034
La 0.0000 2.6034 0.0000
La 2.6034 0.0000 0.0000
Sm 2.6034 2.6034 2.6034
N 0.0000 2.6034 2.6034
N 2.6034 0.0000 2.6034
N 2.6034 2.6034 0.0000
```



La3Sm2TaN6: computed X-ray powder pattern (a wavelength of 1.5418 Å), based on a cell relaxed with GGA-PBE.
Peak positions follow from Bragg's law for the DFT cell and can differ from measured ones.

Most intense lines, 2θ = 5–70°, low angle first:
d/Å  two_theta  I (rel.)
2.928  30.53  34.6
2.893  30.90  100.0
2.513  35.73  96.3
1.784  51.21  22.2
1.769  51.66  32.5
1.513  61.25  20.5

Structural model:
```
12
Lattice="3.0662 -5.3049 0.0000 3.0662 5.3049 0.0000 -2.0291 0.0000 5.8566" Properties=species:S:1:pos:R:3 pbc="T T T"
La 0.0000 0.0000 0.0000
La 3.0662 1.7604 0.0000
La 3.0662 -1.7604 0.0000
Sm 2.0517 3.5340 2.9283
Sm 2.0517 -3.5340 2.9283
Ta 2.0517 0.0000 2.9283
N 1.1397 1.5688 1.6646
N 0.2264 0.0000 4.2373
N 1.1397 -1.5688 1.6646
N 2.9637 1.5688 4.1920
N 3.8770 0.0000 1.6193
N 2.9637 -1.5688 4.1920
```



La2SmTc2N6: computed X-ray powder pattern (a wavelength of 1.5418 Å), based on a cell relaxed with GGA-PBE.
Peak positions follow from Bragg's law for the DFT cell and can differ from measured ones.

Most intense lines, 2θ = 5–70°, low angle first:
d/Å  two_theta  I (rel.)
2.975  30.03  100.0
2.903  30.80  92.5
2.078  43.56  42.0
1.733  52.84  20.4
1.690  54.30  38.5
1.676  54.78  21.7

Structural model:
```
11
Lattice="2.9028 1.6759 6.1518 -2.9028 1.6759 6.1518 0.0000 -3.3518 6.1518" Properties=species:S:1:pos:R:3 pbc="T T T"
La 0.0000 0.0000 3.8419
La 0.0000 0.0000 14.6136
Sm 0.0000 0.0000 0.0000
Tc 0.0000 0.0000 7.4250
Tc 0.0000 0.0000 11.0304
N -1.4850 -0.8573 10.4910
N 0.0000 -1.7147 7.9645
N -1.4850 0.8573 7.9645
N 1.4850 -0.8573 10.4910
N 0.0000 1.7147 10.4910
N 1.4850 0.8573 7.9645
```



La2Sm4Te3N2: computed X-ray powder pattern (a wavelength of 1.5418 Å), based on a cell relaxed with GGA-PBE.
Peak positions follow from Bragg's law for the DFT cell and can differ from measured ones.

Most intense lines, 2θ = 5–70°, low angle first:
d/Å  two_theta  I (rel.)
3.292  27.09  17.2
3.244  27.49  40.7
2.662  33.67  100.0
2.367  38.01  48.7
1.674  54.85  16.7
1.417  65.92  28.6

Structural model:
```
11
Lattice="-2.3671 2.3671 13.1670 2.3671 -2.3671 13.1670 2.3671 2.3671 -13.1670" Properties=species:S:1:pos:R:3 pbc="T T T"
La 0.0000 0.0000 5.0745
La 0.0000 0.0000 21.2595
Sm 2.3671 0.0000 2.1277
Sm 2.3671 0.0000 11.0393
Sm 0.0000 2.3671 2.1277
Sm 0.0000 2.3671 11.0393
Te 0.0000 0.0000 8.5777
Te 0.0000 0.0000 13.1670
Te 0.0000 0.0000 17.7562
N 0.0000 0.0000 2.7798
N 0.0000 0.0000 23.5542
```